1.
Diffraction record for LaSm5Er12. The powder X-ray diffraction pattern is theoretical, not measured: it uses a DFT-relaxed cell (PBE, Alexandria) and a wavelength of 1.5418 Å.

Structural model:
```
data_LaSm5Er12
_chemical_formula_sum 'La2 Sm10 Er24'
_cell_length_a 11.355
_cell_length_b 17.228
_cell_length_c 5.911
_cell_angle_alpha 90.00
_cell_angle_beta 90.09
_cell_angle_gamma 90.00
_space_group_name_H-M_alt 'C 1 2/m 1'
_space_group_IT_number 12
loop_
_space_group_symop_operation_xyz
'x,y,z'
'-x,-y,-z'
'-x,y,-z'
'x,-y,z'
'x+1/2,y+1/2,z'
'-x+1/2,-y+1/2,-z'
'-x+1/2,y+1/2,-z'
'x+1/2,-y+1/2,z'
loop_
_atom_site_label
_atom_site_type_symbol
_atom_site_fract_x
_atom_site_fract_y
_atom_site_fract_z
_atom_site_occupancy
La1 La 0.000 0.000 0.000 1
Sm1 Sm 0.000 0.167 0.500 1
Sm2 Sm 0.000 0.330 0.000 1
Sm3 Sm 0.000 0.500 0.500 1
Er1 Er 0.172 0.500 0.953 1
Er2 Er 0.176 0.333 0.553 1
Er3 Er 0.180 0.000 0.546 1
Er4 Er 0.180 0.167 0.946 1
```

Top 6 peaks for 10° ≤ 2θ ≤ 90°, in order of rising 2θ:
hkl, d/Å, 2θ (°), Rel. int.
0 0 2, 2.956, 30.2, 24
0 6 0, 2.871, 31.1, 30
3 3 1, 2.787, 32.1, 100
1 3 2, 2.560, 35.1, 15
0 6 2, 2.059, 44.0, 17
3 9 1, 1.641, 56.0, 21

2.
Diffraction record for La6SmEr5. The powder X-ray diffraction pattern is theoretical, not measured: it uses a DFT-relaxed cell (PBE, Alexandria) and a wavelength of 1.5418 Å.

Structural model:
```
data_La6SmEr5
_chemical_formula_sum 'La6 Sm1 Er5'
_cell_length_a 6.196
_cell_length_b 7.396
_cell_length_c 9.635
_cell_angle_alpha 112.43
_cell_angle_beta 92.37
_cell_angle_gamma 90.04
_space_group_name_H-M_alt 'P -1'
_space_group_IT_number 2
loop_
_space_group_symop_operation_xyz
'x,y,z'
'-x,-y,-z'
loop_
_atom_site_label
_atom_site_type_symbol
_atom_site_fract_x
_atom_site_fract_y
_atom_site_fract_z
_atom_site_occupancy
La1 La 0.000 0.249 0.000 1
La2 La 0.331 0.083 0.665 1
La3 La 0.331 0.583 0.665 1
Sm1 Sm 0.500 0.500 0.000 1
Er1 Er 0.167 0.667 0.334 1
Er2 Er 0.168 0.166 0.333 1
Er3 Er 0.500 0.000 0.000 1
```

Top 6 peaks for 10° ≤ 2θ ≤ 90°, in order of rising 2θ:
hkl, d/Å, 2θ (°), Rel. int.
1 2 0, 2.967, 30.1, 100
1 2 -3, 2.613, 34.3, 35
2 0 2, 2.489, 36.1, 15
1 2 3, 1.802, 50.6, 18
0 4 1, 1.569, 58.8, 15
3 2 -4, 1.567, 58.9, 15

3.
Diffraction record for La3Sm7Er. The powder X-ray diffraction pattern is theoretical, not measured: it uses a DFT-relaxed cell (PBE, Alexandria) and a wavelength of 1.5418 Å.

Structural model:
```
data_La3Sm7Er
_chemical_formula_sum 'La3 Sm7 Er1'
_cell_length_a 6.632
_cell_length_b 6.858
_cell_length_c 8.802
_cell_angle_alpha 100.31
_cell_angle_beta 98.52
_cell_angle_gamma 96.08
_space_group_name_H-M_alt 'P -1'
_space_group_IT_number 2
loop_
_space_group_symop_operation_xyz
'x,y,z'
'-x,-y,-z'
loop_
_atom_site_label
_atom_site_type_symbol
_atom_site_fract_x
_atom_site_fract_y
_atom_site_fract_z
_atom_site_occupancy
La1 La 0.000 0.000 0.000 1
La2 La 0.183 0.561 0.172 1
Sm1 Sm 0.012 0.771 0.576 1
Sm2 Sm 0.294 0.271 0.791 1
Sm3 Sm 0.433 0.788 0.853 1
Sm4 Sm 0.500 0.500 0.500 1
Er1 Er 0.500 0.000 0.500 1
```

Top 6 peaks for 10° ≤ 2θ ≤ 90°, in order of rising 2θ:
hkl, d/Å, 2θ (°), Rel. int.
1 2 -1, 2.894, 30.9, 72
-1 2 1, 2.862, 31.3, 80
2 -1 1, 2.843, 31.5, 84
2 0 -2, 2.827, 31.6, 100
1 1 2, 2.737, 32.7, 37
1 -2 2, 2.671, 33.6, 35

4.
Diffraction record for LaSm2Er9. The powder X-ray diffraction pattern is theoretical, not measured: it uses a DFT-relaxed cell (PBE, Alexandria) and a wavelength of 1.5418 Å.

Structural model:
```
data_LaSm2Er9
_chemical_formula_sum 'La1 Sm2 Er9'
_cell_length_a 11.2305
_cell_length_b 11.2305
_cell_length_c 3.5195
_cell_angle_alpha 90.00
_cell_angle_beta 90.00
_cell_angle_gamma 120.00
_space_group_name_H-M_alt 'P 6/m m m'
_space_group_IT_number 191
_space_group_name_Hall '-P 6 2'
loop_
_atom_site_label
_atom_site_type_symbol
_atom_site_fract_x
_atom_site_fract_y
_atom_site_fract_z
_atom_site_occupancy
La1 La 0.0000 0.0000 0.0000 1
Sm1 Sm 0.3333 0.6667 0.0000 1
Er1 Er 0.0000 0.5000 0.0000 1
Er2 Er 0.1780 0.3560 0.5000 1
```

Top 6 peaks for 10° ≤ 2θ ≤ 90°, in order of rising 2θ:
hkl, d/Å, 2θ (°), Rel. int.
1 1 1, 2.982, 30.0, 23
2 0 1, 2.851, 31.4, 56
2 2 0, 2.808, 31.9, 100
2 1 1, 2.542, 35.3, 22
4 2 1, 1.629, 56.5, 19
2 2 2, 1.491, 62.3, 30

5.
Diffraction record for La7Sm12Er. The powder X-ray diffraction pattern is theoretical, not measured: it uses a DFT-relaxed cell (PBE, Alexandria) and a wavelength of 1.5418 Å.

Structural model:
```
data_La7Sm12Er
_chemical_formula_sum 'La21 Sm36 Er3'
_cell_length_a 12.3655
_cell_length_b 12.3655
_cell_length_c 16.0891
_cell_angle_alpha 90.00
_cell_angle_beta 90.00
_cell_angle_gamma 120.00
_space_group_name_H-M_alt 'R -3'
_space_group_IT_number 148
_space_group_name_Hall '-R 3'
loop_
_atom_site_label
_atom_site_type_symbol
_atom_site_fract_x
_atom_site_fract_y
_atom_site_fract_z
_atom_site_occupancy
La1 La 0.0000 0.0000 0.0000 1
La2 La 0.0514 0.1822 0.2893 1
Sm1 Sm 0.0263 0.4466 0.2179 1
Sm2 Sm 0.0540 0.5864 0.5841 1
Er1 Er 0.0000 0.0000 0.5000 1
```

Top 6 peaks for 10° ≤ 2θ ≤ 90°, in order of rising 2θ:
hkl, d/Å, 2θ (°), Rel. int.
0 1 5, 3.084, 29.0, 35
0 3 3, 2.972, 30.1, 41
4 -3 1, 2.921, 30.6, 100
3 -1 4, 2.853, 31.4, 49
3 1 2, 2.786, 32.1, 56
2 5 0, 1.714, 53.4, 20

6.
Diffraction record for La5Sm12Er2. The powder X-ray diffraction pattern is theoretical, not measured: it uses a DFT-relaxed cell (PBE, Alexandria) and a wavelength of 1.5418 Å.

Structural model:
```
data_La5Sm12Er2
_chemical_formula_sum 'La10 Sm24 Er4'
_cell_length_a 5.405
_cell_length_b 10.533
_cell_length_c 23.344
_cell_angle_alpha 90.00
_cell_angle_beta 90.00
_cell_angle_gamma 90.00
_space_group_name_H-M_alt 'I m m m'
_space_group_IT_number 71
_space_group_name_Hall '-I 2 2'
loop_
_atom_site_label
_atom_site_type_symbol
_atom_site_fract_x
_atom_site_fract_y
_atom_site_fract_z
_atom_site_occupancy
La1 La 0.000 0.000 0.000 1
La2 La 0.000 0.000 0.198 1
La3 La 0.000 0.500 0.199 1
Sm1 Sm 0.000 0.000 0.419 1
Sm2 Sm 0.000 0.240 0.306 1
Sm3 Sm 0.000 0.275 0.085 1
Sm4 Sm 0.000 0.500 0.397 1
Er1 Er 0.000 0.284 0.500 1
```

Top 6 peaks for 10° ≤ 2θ ≤ 90°, in order of rising 2θ:
hkl, d/Å, 2θ (°), Rel. int.
1 2 5, 2.934, 30.5, 100
2 0 0, 2.702, 33.2, 23
0 4 0, 2.633, 34.1, 19
2 4 0, 1.886, 48.3, 13
3 2 5, 1.601, 57.6, 17
1 6 5, 1.572, 58.7, 11

7.
Diffraction record for La6Sm2Er3. The powder X-ray diffraction pattern is theoretical, not measured: it uses a DFT-relaxed cell (PBE, Alexandria) and a wavelength of 1.5418 Å.

Structural model:
```
data_La6Sm2Er3
_chemical_formula_sum 'La6 Sm2 Er3'
_cell_length_a 6.332
_cell_length_b 8.155
_cell_length_c 8.191
_cell_angle_alpha 107.17
_cell_angle_beta 97.16
_cell_angle_gamma 105.02
_space_group_name_H-M_alt 'P -1'
_space_group_IT_number 2
loop_
_space_group_symop_operation_xyz
'x,y,z'
'-x,-y,-z'
loop_
_atom_site_label
_atom_site_type_symbol
_atom_site_fract_x
_atom_site_fract_y
_atom_site_fract_z
_atom_site_occupancy
La1 La 0.048 0.182 0.411 1
La2 La 0.137 0.546 0.232 1
La3 La 0.321 0.272 0.865 1
Sm1 Sm 0.230 0.911 0.049 1
Er1 Er 0.410 0.639 0.682 1
Er2 Er 0.500 0.000 0.500 1
```

Top 6 peaks for 10° ≤ 2θ ≤ 90°, in order of rising 2θ:
hkl, d/Å, 2θ (°), Rel. int.
0 1 2, 3.002, 29.8, 34
1 2 -1, 2.982, 30.0, 100
2 0 1, 2.594, 34.6, 23
1 1 -3, 2.583, 34.7, 45
1 3 1, 1.832, 49.8, 16
3 1 -2, 1.826, 49.9, 16

8.
Diffraction record for La5SmEr2. The powder X-ray diffraction pattern is theoretical, not measured: it uses a DFT-relaxed cell (PBE, Alexandria) and a wavelength of 1.5418 Å.

Structural model:
```
data_La5SmEr2
_chemical_formula_sum 'La20 Sm4 Er8'
_cell_length_a 16.953
_cell_length_b 10.145
_cell_length_c 6.744
_cell_angle_alpha 90.00
_cell_angle_beta 101.30
_cell_angle_gamma 90.00
_space_group_name_H-M_alt 'C 1 2/c 1'
_space_group_IT_number 15
loop_
_space_group_symop_operation_xyz
'x,y,z'
'-x,-y,-z'
'-x,y,-z+1/2'
'x,-y,z+1/2'
'x+1/2,y+1/2,z'
'-x+1/2,-y+1/2,-z'
'-x+1/2,y+1/2,-z+1/2'
'x+1/2,-y+1/2,z+1/2'
loop_
_atom_site_label
_atom_site_type_symbol
_atom_site_fract_x
_atom_site_fract_y
_atom_site_fract_z
_atom_site_occupancy
La1 La 0.000 0.060 0.250 1
La2 La 0.092 0.404 0.149 1
La3 La 0.206 0.086 0.027 1
Sm1 Sm 0.250 0.250 0.500 1
Er1 Er 0.082 0.256 0.648 1
```

Top 6 peaks for 10° ≤ 2θ ≤ 90°, in order of rising 2θ:
hkl, d/Å, 2θ (°), Rel. int.
5 1 0, 3.160, 28.2, 33
4 2 -1, 3.081, 29.0, 41
3 1 -2, 2.984, 29.9, 28
1 3 1, 2.917, 30.6, 100
2 0 2, 2.885, 31.0, 50
3 3 3, 1.672, 54.9, 18

9.
Diffraction record for La14SmEr. The powder X-ray diffraction pattern is theoretical, not measured: it uses a DFT-relaxed cell (PBE, Alexandria) and a wavelength of 1.5418 Å.

Structural model:
```
data_La14SmEr
_chemical_formula_sum 'La28 Sm2 Er2'
_cell_length_a 10.713
_cell_length_b 10.644
_cell_length_c 10.010
_cell_angle_alpha 90.00
_cell_angle_beta 90.00
_cell_angle_gamma 90.00
_space_group_name_H-M_alt 'A m m 2'
_space_group_IT_number 38
loop_
_space_group_symop_operation_xyz
'x,y,z'
'-x,-y,z'
'-x,y,z'
'x,-y,z'
'x,y+1/2,z+1/2'
'-x,-y+1/2,z+1/2'
'-x,y+1/2,z+1/2'
'x,-y+1/2,z+1/2'
loop_
_atom_site_label
_atom_site_type_symbol
_atom_site_fract_x
_atom_site_fract_y
_atom_site_fract_z
_atom_site_occupancy
La1 La 0.000 0.000 0.000 1
La2 La 0.000 0.000 0.499 1
La3 La 0.000 0.248 0.749 1
La4 La 0.251 0.000 0.251 1
La5 La 0.251 0.249 0.499 1
La6 La 0.254 0.000 0.748 1
La7 La 0.500 0.248 0.249 1
Sm1 Sm 0.500 0.000 0.999 1
Er1 Er 0.500 0.000 0.499 1
```

Top 6 peaks for 10° ≤ 2θ ≤ 90°, in order of rising 2θ:
hkl, d/Å, 2θ (°), Rel. int.
2 2 2, 3.014, 29.6, 100
4 0 0, 2.678, 33.5, 18
0 4 0, 2.661, 33.7, 18
0 0 4, 2.502, 35.9, 15
6 2 2, 1.603, 57.5, 15
2 6 2, 1.596, 57.8, 15

10.
Diffraction record for La2Sm2Er. The powder X-ray diffraction pattern is theoretical, not measured: it uses a DFT-relaxed cell (PBE, Alexandria) and a wavelength of 1.5418 Å.

Structural model:
```
data_La2Sm2Er
_chemical_formula_sum 'La8 Sm8 Er4'
_cell_length_a 3.855
_cell_length_b 13.653
_cell_length_c 13.432
_cell_angle_alpha 90.00
_cell_angle_beta 90.00
_cell_angle_gamma 90.00
_space_group_name_H-M_alt 'C m c 21'
_space_group_IT_number 36
loop_
_space_group_symop_operation_xyz
'x,y,z'
'-x,-y,z+1/2'
'-x,y,z'
'x,-y,z+1/2'
'x+1/2,y+1/2,z'
'-x+1/2,-y+1/2,z+1/2'
'-x+1/2,y+1/2,z'
'x+1/2,-y+1/2,z+1/2'
loop_
_atom_site_label
_atom_site_type_symbol
_atom_site_fract_x
_atom_site_fract_y
_atom_site_fract_z
_atom_site_occupancy
La1 La 0.000 0.001 0.000 1
La2 La 0.000 0.260 0.104 1
Sm1 Sm 0.000 0.097 0.752 1
Sm2 Sm 0.000 0.262 0.397 1
Er1 Er 0.000 0.398 0.754 1
```

Top 6 peaks for 10° ≤ 2θ ≤ 90°, in order of rising 2θ:
hkl, d/Å, 2θ (°), Rel. int.
0 4 2, 3.043, 29.4, 57
0 2 4, 3.013, 29.6, 59
1 3 1, 2.874, 31.1, 100
1 1 3, 2.857, 31.3, 91
1 7 3, 1.623, 56.7, 42
1 3 7, 1.607, 57.3, 27

11.
Diffraction record for La2Sm6Er. The powder X-ray diffraction pattern is theoretical, not measured: it uses a DFT-relaxed cell (PBE, Alexandria) and a wavelength of 1.5418 Å.

Structural model:
```
data_La2Sm6Er
_chemical_formula_sum 'La2 Sm6 Er1'
_cell_length_a 6.291
_cell_length_b 6.324
_cell_length_c 8.156
_cell_angle_alpha 82.66
_cell_angle_beta 75.12
_cell_angle_gamma 80.44
_space_group_name_H-M_alt 'P -1'
_space_group_IT_number 2
loop_
_space_group_symop_operation_xyz
'x,y,z'
'-x,-y,-z'
loop_
_atom_site_label
_atom_site_type_symbol
_atom_site_fract_x
_atom_site_fract_y
_atom_site_fract_z
_atom_site_occupancy
La1 La 0.056 0.110 0.280 1
Sm1 Sm 0.168 0.331 0.833 1
Sm2 Sm 0.280 0.554 0.390 1
Sm3 Sm 0.389 0.776 0.944 1
Er1 Er 0.500 0.000 0.500 1
```

Top 6 peaks for 10° ≤ 2θ ≤ 90°, in order of rising 2θ:
hkl, d/Å, 2θ (°), Rel. int.
0 2 1, 2.978, 30.0, 100
2 1 1, 2.968, 30.1, 33
1 1 3, 2.579, 34.8, 45
2 -1 0, 2.572, 34.9, 22
2 3 2, 1.824, 50.0, 32
1 4 0, 1.556, 59.4, 24

12.
Diffraction record for La2Sm3Er. The powder X-ray diffraction pattern is theoretical, not measured: it uses a DFT-relaxed cell (PBE, Alexandria) and a wavelength of 1.5418 Å.

Structural model:
```
data_La2Sm3Er
_chemical_formula_sum 'La4 Sm6 Er2'
_cell_length_a 7.128
_cell_length_b 9.977
_cell_length_c 5.767
_cell_angle_alpha 90.00
_cell_angle_beta 90.00
_cell_angle_gamma 90.00
_space_group_name_H-M_alt 'P n n m'
_space_group_IT_number 58
loop_
_space_group_symop_operation_xyz
'x,y,z'
'-x,-y,-z'
'-x,-y,z'
'x,y,-z'
'x+1/2,-y+1/2,-z+1/2'
'-x+1/2,y+1/2,z+1/2'
'-x+1/2,y+1/2,-z+1/2'
'x+1/2,-y+1/2,z+1/2'
loop_
_atom_site_label
_atom_site_type_symbol
_atom_site_fract_x
_atom_site_fract_y
_atom_site_fract_z
_atom_site_occupancy
La1 La 0.248 0.168 0.000 1
Sm1 Sm 0.000 0.500 0.000 1
Sm2 Sm 0.250 0.333 0.500 1
Er1 Er 0.000 0.000 0.500 1
```

Top 6 peaks for 10° ≤ 2θ ≤ 90°, in order of rising 2θ:
hkl, d/Å, 2θ (°), Rel. int.
2 2 0, 2.901, 30.8, 93
0 3 1, 2.882, 31.0, 100
2 2 2, 2.044, 44.3, 35
2 5 1, 1.667, 55.1, 36
0 6 0, 1.664, 55.2, 20
4 3 1, 1.516, 61.1, 29